Structure and theoretical powder diffraction line list of BaGaH4 (a DFT-relaxed cell (GGA-PBE, the Materials Project); λ = 1.5418 Å (Cu Kα)).
Kinematic intensities with the Lorentz-polarization factor, no thermal factor.

Peak list (8 most intense, 10 to 80 degrees two-theta, by angle)
h k l	two_theta	d/Å	I_rel
0 0 2	20.29	4.377	27
0 1 1	21.43	4.146	21
1 1 0	25.57	3.484	100
1 0 -2	26.66	3.343	68
0 1 2	27.83	3.206	55
1 1 2	32.86	2.726	27
2 0 0	34.64	2.590	24
1 0 -4	44.96	2.016	32

Atomic structure:
Unit cell a=5.180 b=4.707 c=8.754 alpha=90.00 beta=90.13 gamma=90.00
Space group P2_1 (No. 4)
Unique sites:
Ba 0.245 0.000 0.319 [2 per cell]
Ga 0.256 0.914 0.852 [2 per cell]
H 0.011 0.014 0.750 [2 per cell]
H 0.240 0.032 0.021 [2 per cell]
H 0.256 0.574 0.838 [2 per cell]
H 0.483 0.513 0.233 [2 per cell]